# Na2CaCl4
Simulated X-ray powder pattern, Cu Kα. Input: a DFT-relaxed cell (PBE, Alexandria).

Principal peaks in the range 2θ from 10° to 90°, in order of falling intensity:
3.070 Å, 2θ = 29.09°, rel. 100.0; 3.159 Å, 2θ = 28.25°, rel. 99.4; 2.044 Å, 2θ = 44.32°, rel. 77.5; 6.022 Å, 2θ = 14.71°, rel. 60.7; 2.346 Å, 2θ = 38.36°, rel. 58.7; 2.427 Å, 2θ = 37.03°, rel. 51.1; 2.059 Å, 2θ = 43.97°, rel. 50.5; 3.187 Å, 2θ = 27.99°, rel. 49.7

Structural model:
```
7
Lattice="7.143 -2.059 0.000 7.143 2.059 0.000 -3.076 0.000 6.375" Properties=species:S:1:pos:R:3 pbc="T T T"
Na 2.397 0.000 1.190
Na 8.813 0.000 5.185
Ca 5.605 0.000 3.187
Cl 0.368 0.000 3.116
Cl 5.169 0.000 0.519
Cl 6.041 0.000 5.856
Cl 10.843 0.000 3.259
```